Structure and calculated X-ray powder pattern of LiHg3PdO4 (a GGA-PBE-relaxed structure; Cu Kα (weighted mean of Kα1 and Kα2)).
Peak positions follow from Bragg's law for the DFT cell and can differ from measured ones.

The 8 most intense peaks (15 to 90 degrees two-theta), by intensity:
2θ 29.26, d = 3.052 Å, I 100, hkl 1 1 1; 2θ 16.77, d = 5.287 Å, I 96, hkl 1 0 0; 2θ 48.71, d = 1.869 Å, I 88, hkl 2 2 0; 2θ 33.91, d = 2.644 Å, I 86, hkl 2 0 0; 2θ 38.06, d = 2.364 Å, I 59, hkl 2 1 0; 2θ 57.84, d = 1.594 Å, I 46, hkl 3 1 1; 2θ 81.40, d = 1.182 Å, I 32, hkl 4 2 0; 2θ 51.88, d = 1.762 Å, I 28, hkl 3 0 0

Cell and atoms:
```
data_LiHg3PdO4
_chemical_formula_sum 'Li1 Hg3 Pd1 O4'
_space_group_name_H-M_alt 'P -4 3 m'
_space_group_IT_number 215
_space_group_name_Hall 'P -4 2 3'
_cell_length_a 5.2870
_cell_length_b 5.2870
_cell_length_c 5.2870
_cell_angle_alpha 90.00
_cell_angle_beta 90.00
_cell_angle_gamma 90.00
loop_
_atom_site_label
_atom_site_fract_x
_atom_site_fract_y
_atom_site_fract_z
Li1 0.0000 0.0000 0.0000
Hg1 0.0000 0.5000 0.5000
Pd1 0.5000 0.5000 0.5000
O1 0.2262 0.2262 0.2262
```